[1]
Starting from a DFT-relaxed cell (PBE, the Materials Project), the powder diffraction line list of SmAsS was computed for CuKα.
Lines closer than 0.1° are merged.

```
data_SmAsS
_symmetry_space_group_name_H-M 'P n m a'
_symmetry_Int_Tables_number 62
_cell_length_a 17.3696
_cell_length_b 3.8881
_cell_length_c 3.9268
_cell_angle_alpha 90.00
_cell_angle_beta 90.00
_cell_angle_gamma 90.00
loop_
_symmetry_equiv_pos_as_xyz
'x,y,z'
'-x,-y,-z'
'-x+1/2,-y,z+1/2'
'x+1/2,y,-z+1/2'
'x+1/2,-y+1/2,-z+1/2'
'-x+1/2,y+1/2,z+1/2'
'-x,y+1/2,-z'
'x,-y+1/2,z'
loop_
_atom_site_label
_atom_site_type_symbol
_atom_site_fract_x
_atom_site_fract_y
_atom_site_fract_z
Sm1 Sm 0.1460 0.2500 0.2452
As1 As 0.0011 0.2500 0.7182
S1 S 0.1866 0.7500 0.7490
```

Largest 8 diffraction maxima, in order of falling intensity, 2θ = 10–90°:
| 2theta | d_spacing | intensity | (hkl) |
| --- | --- | --- | --- |
| 38.63 | 2.331 | 100 | 4 1 1 |
| 34.05 | 2.633 | 53 | 2 1 1 |
| 25.09 | 3.549 | 44 | 2 1 0 |
| 24.88 | 3.578 | 44 | 2 0 1 |
| 30.89 | 2.895 | 42 | 6 0 0 |
| 46.73 | 1.944 | 19 | 0 2 0 |
| 46.24 | 1.963 | 19 | 0 0 2 |
| 63.24 | 1.471 | 18 | 10 1 1 |

---

[2]
Starting from a DFT-relaxed cell (PBE, the Materials Project), the powder diffraction line list of SmAsS was computed for CuKα.
Lines closer than 0.1° are merged.

```
data_SmAsS
_symmetry_space_group_name_H-M 'P m m n'
_symmetry_Int_Tables_number 59
_cell_length_a 3.8881
_cell_length_b 3.9268
_cell_length_c 8.6848
_cell_angle_alpha 90.00
_cell_angle_beta 90.00
_cell_angle_gamma 90.00
loop_
_symmetry_equiv_pos_as_xyz
'x,y,z'
'-x,-y,-z'
'-x+1/2,-y+1/2,z'
'x+1/2,y+1/2,-z'
'x+1/2,-y,-z'
'-x+1/2,y,z'
'-x,y+1/2,-z'
'x,-y+1/2,z'
loop_
_atom_site_label
_atom_site_type_symbol
_atom_site_fract_x
_atom_site_fract_y
_atom_site_fract_z
Sm1 Sm 0.2500 0.2500 0.2081
As1 As 0.2500 0.7500 0.4979
S1 S 0.2500 0.2500 0.8732
```

Largest 8 diffraction maxima, in order of falling intensity, 2θ = 10–90°:
| 2theta | d_spacing | intensity | (hkl) |
| --- | --- | --- | --- |
| 38.63 | 2.331 | 100 | 1 1 2 |
| 34.05 | 2.633 | 53 | 1 1 1 |
| 25.09 | 3.549 | 44 | 1 0 1 |
| 24.88 | 3.578 | 43 | 0 1 1 |
| 30.89 | 2.895 | 41 | 0 0 3 |
| 46.24 | 1.963 | 19 | 0 2 0 |
| 46.73 | 1.944 | 19 | 2 0 0 |
| 63.24 | 1.471 | 18 | 1 1 5 |

---

[3]
Starting from a DFT-relaxed cell (PBE, the Materials Project), the powder diffraction line list of SmAsS was computed for CuKα.
Lines closer than 0.1° are merged.

```
data_SmAsS
_symmetry_space_group_name_H-M 'P n m a'
_symmetry_Int_Tables_number 62
_cell_length_a 17.3908
_cell_length_b 3.8933
_cell_length_c 3.9219
_cell_angle_alpha 90.00
_cell_angle_beta 90.00
_cell_angle_gamma 90.00
loop_
_symmetry_equiv_pos_as_xyz
'x,y,z'
'-x,-y,-z'
'-x+1/2,-y,z+1/2'
'x+1/2,y,-z+1/2'
'x+1/2,-y+1/2,-z+1/2'
'-x+1/2,y+1/2,z+1/2'
'-x,y+1/2,-z'
'x,-y+1/2,z'
loop_
_atom_site_label
_atom_site_type_symbol
_atom_site_fract_x
_atom_site_fract_y
_atom_site_fract_z
Sm1 Sm 0.1455 0.2500 0.2446
As1 As 0.0011 0.2500 0.7150
S1 S 0.1866 0.7500 0.7472
```

Largest 8 diffraction maxima, in order of falling intensity, 2θ = 10–90°:
| 2theta | d_spacing | intensity | (hkl) |
| --- | --- | --- | --- |
| 38.61 | 2.332 | 100 | 4 1 1 |
| 34.05 | 2.633 | 52 | 2 1 1 |
| 25.06 | 3.553 | 44 | 2 1 0 |
| 24.91 | 3.575 | 43 | 2 0 1 |
| 30.85 | 2.899 | 41 | 6 0 0 |
| 46.66 | 1.947 | 19 | 0 2 0 |
| 46.30 | 1.961 | 18 | 0 0 2 |
| 32.40 | 2.763 | 18 | 0 1 1 |

---

[4]
Starting from a DFT-relaxed cell (PBE, the Materials Project), the powder diffraction line list of TbAsS was computed for CuKα.
Lines closer than 0.1° are merged.

```
data_TbAsS
_symmetry_space_group_name_H-M 'P m m n'
_symmetry_Int_Tables_number 59
_cell_length_a 3.8440
_cell_length_b 3.8670
_cell_length_c 8.5585
_cell_angle_alpha 90.00
_cell_angle_beta 90.00
_cell_angle_gamma 90.00
loop_
_symmetry_equiv_pos_as_xyz
'x,y,z'
'-x,-y,-z'
'-x+1/2,-y+1/2,z'
'x+1/2,y+1/2,-z'
'x+1/2,-y,-z'
'-x+1/2,y,z'
'-x,y+1/2,-z'
'x,-y+1/2,z'
loop_
_atom_site_label
_atom_site_type_symbol
_atom_site_fract_x
_atom_site_fract_y
_atom_site_fract_z
Tb1 Tb 0.2500 0.2500 0.2088
As1 As 0.2500 0.7500 0.4965
S1 S 0.2500 0.2500 0.8733
```

Largest 8 diffraction maxima, in order of falling intensity, 2θ = 10–90°:
| 2theta | d_spacing | intensity | (hkl) |
| --- | --- | --- | --- |
| 39.19 | 2.299 | 100 | 1 1 2 |
| 34.53 | 2.598 | 50 | 1 1 1 |
| 25.40 | 3.507 | 46 | 1 0 1 |
| 25.27 | 3.524 | 45 | 0 1 1 |
| 31.35 | 2.853 | 40 | 0 0 3 |
| 47.00 | 1.933 | 19 | 0 2 0 |
| 32.85 | 2.726 | 19 | 1 1 0 |
| 47.29 | 1.922 | 18 | 2 0 0 |